Diffraction record for La5CeSb4. The powder diffractogram is theoretical, not measured: it uses the GGA-PBE geometry in Alexandria and CuKα.
Lines closer than 0.1° are merged.

The 10 most intense peaks (2θ = 5–70°), by angle:
- 2θ = 10.17°, 8.701 Å, I = 8
- 2θ = 28.15°, 3.170 Å, I = 100
- 2θ = 39.95°, 2.257 Å, I = 26
- 2θ = 40.17°, 2.245 Å, I = 14
- 2θ = 40.27°, 2.240 Å, I = 13
- 2θ = 40.54°, 2.225 Å, I = 25
- 2θ = 49.87°, 1.829 Å, I = 14
- 2θ = 58.21°, 1.585 Å, I = 14
- 2θ = 65.49°, 1.425 Å, I = 12
- 2θ = 66.32°, 1.409 Å, I = 11

Cell and atoms:
```
La5CeSb4
1.0
9.8083 -2.2396 0.0000
9.8083 2.2396 0.0000
-2.2294 0.0000 8.7011
La Ce Sb
5 1 4
direct
0.0000 0.0000 0.0000
0.3287 0.3287 0.1597
0.3354 0.3354 0.6709
0.6646 0.6646 0.3291
0.6713 0.6713 0.8403
0.0000 0.0000 0.5000
0.1673 0.1673 0.5856
0.4955 0.4955 0.2501
0.5045 0.5045 0.7499
0.8327 0.8327 0.4144
```